DyLuInAg: calculated powder diffractogram (Cu Kα (λ = 1.5418 Å)), based on a cell relaxed with GGA-PBE.
Peak positions follow from Bragg's law for the DFT cell and can differ from measured ones.

Largest 6 diffraction maxima, low angle first, 10° ≤ 2θ ≤ 90°:
- (2 0 0), 24.22°, I 40
- (2 2 0), 34.52°, I 1000
- (4 0 0), 49.61°, I 178
- (4 2 2), 61.84°, I 363
- (4 4 0), 72.79°, I 112
- (6 2 0), 83.12°, I 158

Structural model:
Cell: 7.3498 7.3498 7.3498 Å, 90.00 90.00 90.00°
Space group F-43m (No. 216)
One atom of each set of equivalent atoms:
Dy 0.0000 0.0000 0.0000
Lu 0.0000 0.0000 0.5000
In 0.2500 0.2500 0.2500
Ag 0.2500 0.2500 0.7500